For HfCo3Au, the GGA-PBE geometry in Alexandria gives the theoretical X-ray powder pattern in this record (copper Kα).
No peak broadening, texture or thermal motion is included.

Top 6 peaks for 5 to 70 degrees two-theta, by angle:
d/Å, intensity, (hkl)
3.179, 100, 1 1 0
2.596, 18, 1 1 1
2.248, 63, 2 0 0
1.836, 44, 2 1 1
1.590, 42, 2 2 0
1.422, 19, 3 1 0

Cell and atoms:
a = 4.496 Å, b = 4.496 Å, c = 4.496 Å
α = 90.00°, β = 90.00°, γ = 90.00°
Space group Pm-3m (No. 221)
Symmetry-distinct sites (fractional):
Hf (0.000, 0.000, 0.000)
Co (0.000, 0.000, 0.500)
Au (0.500, 0.500, 0.500)

For La2AsPt3, the GGA-PBE geometry in Alexandria gives the theoretical X-ray powder pattern in this record (copper Kα).
No peak broadening, texture or thermal motion is included.

Top 6 peaks for 5 to 70 degrees two-theta, by angle:
d/Å, intensity, (hkl)
4.017, 17, 2 0 0
2.782, 100, 2 2 2
2.229, 42, 0 2 6
2.221, 21, 0 4 0
1.737, 16, 2 4 4
1.492, 24, 4 2 6

Cell and atoms:
a = 8.034 Å, b = 8.885 Å, c = 15.456 Å
α = 90.00°, β = 90.00°, γ = 90.00°
Space group Fmmm (No. 69)
Symmetry-distinct sites (fractional):
La (0.240, 0.000, 0.000)
La (0.250, 0.250, 0.250)
As (0.000, 0.000, 0.334)
Pt (0.000, 0.000, 0.172)
Pt (0.000, 0.244, 0.415)

For CaErNi2H8, the GGA-PBE geometry in Alexandria gives the theoretical X-ray powder pattern in this record (copper Kα).
No peak broadening, texture or thermal motion is included.

Top 6 peaks for 5 to 70 degrees two-theta, by angle:
d/Å, intensity, (hkl)
6.228, 100, 0 0 1
3.499, 33, 1 -1 0
3.115, 52, 1 0 1
2.932, 59, -1 1 1
2.901, 42, 0 1 -2
2.529, 39, 1 1 -1

Cell and atoms:
a = 4.312 Å, b = 4.362 Å, c = 6.554 Å
α = 104.49°, β = 95.61°, γ = 108.29°
Space group P-1 (No. 2)
Symmetry-distinct sites (fractional):
Ca (0.000, 0.000, 0.000)
Er (0.500, 0.000, 0.500)
Ni (0.150, 0.497, 0.679)
H (0.053, 0.288, 0.419)
H (0.133, 0.663, 0.202)
H (0.359, 0.324, 0.774)
H (0.443, 0.844, 0.800)

For Ca3InAu4, the GGA-PBE geometry in Alexandria gives the theoretical X-ray powder pattern in this record (copper Kα).
No peak broadening, texture or thermal motion is included.

Top 6 peaks for 5 to 70 degrees two-theta, by angle:
d/Å, intensity, (hkl)
3.917, 100, 1 0 1
3.715, 48, 0 0 4
2.611, 32, 1 2 1
2.550, 91, 0 2 4
2.338, 55, 1 2 3
1.369, 32, 1 3 8

Cell and atoms:
a = 4.060 Å, b = 7.007 Å, c = 14.858 Å
α = 90.00°, β = 90.00°, γ = 90.00°
Space group Immm (No. 71)
Symmetry-distinct sites (fractional):
Ca (0.000, 0.000, 0.000)
Ca (0.000, 0.500, 0.190)
In (0.000, 0.000, 0.500)
Au (0.000, 0.301, 0.374)

For Ca7Rh2Au2, the GGA-PBE geometry in Alexandria gives the theoretical X-ray powder pattern in this record (copper Kα).
No peak broadening, texture or thermal motion is included.

Top 6 peaks for 5 to 70 degrees two-theta, by angle:
d/Å, intensity, (hkl)
4.005, 81, 0 2 2
3.810, 52, 1 0 1
3.771, 35, 0 4 0
3.401, 50, 1 2 1
2.680, 100, 1 4 1
2.384, 55, 1 2 3

Cell and atoms:
a = 4.163 Å, b = 15.083 Å, c = 9.453 Å
α = 90.00°, β = 90.00°, γ = 90.00°
Space group Imm2 (No. 44)
Symmetry-distinct sites (fractional):
Ca (0.000, 0.000, 0.000)
Ca (0.000, 0.122, 0.413)
Ca (0.000, 0.313, 0.621)
Ca (0.000, 0.358, 0.247)
Rh (0.000, 0.234, 0.923)
Au (0.000, 0.000, 0.674)
Au (0.000, 0.500, 0.743)

For SrBr2F6, the GGA-PBE geometry in Alexandria gives the theoretical X-ray powder pattern in this record (copper Kα).
No peak broadening, texture or thermal motion is included.

Top 6 peaks for 5 to 70 degrees two-theta, by angle:
d/Å, intensity, (hkl)
5.677, 50, 1 1 -1
4.801, 64, 0 2 0
3.519, 38, 2 0 -2
3.137, 63, 3 1 0
3.082, 100, 3 1 -2
1.983, 38, 2 4 -2

Cell and atoms:
a = 11.850 Å, b = 9.601 Å, c = 7.053 Å
α = 90.00°, β = 122.81°, γ = 90.00°
Space group C2/c (No. 15)
Symmetry-distinct sites (fractional):
Sr (0.000, 0.116, 0.250)
Br (0.129, 0.481, 0.656)
F (0.109, 0.286, 0.597)
F (0.137, 0.026, 0.098)
F (0.141, 0.325, 0.223)

For VNi3H3, the GGA-PBE geometry in Alexandria gives the theoretical X-ray powder pattern in this record (copper Kα).
No peak broadening, texture or thermal motion is included.

Top 6 peaks for 5 to 70 degrees two-theta, by angle:
d/Å, intensity, (hkl)
6.385, 23, 0 0 3
3.594, 5, 0 1 2
2.238, 6, 1 1 0
2.128, 33, 0 0 9
2.113, 100, 2 -1 3
1.833, 68, 1 1 6

Cell and atoms:
a = 4.4772 Å, b = 4.4772 Å, c = 19.1548 Å
α = 90.00°, β = 90.00°, γ = 120.00°
Space group R-3 (No. 148, hexagonal axes)
Symmetry-distinct sites (fractional):
V (0.0000, 0.0000, 0.1678)
Ni (0.9995, 0.3317, 0.6128)
H (0.0006, 0.6642, 0.2295)

For K2Sn2Hg3S8, the GGA-PBE geometry in Alexandria gives the theoretical X-ray powder pattern in this record (copper Kα).
No peak broadening, texture or thermal motion is included.

Top 6 peaks for 5 to 70 degrees two-theta, by angle:
d/Å, intensity, (hkl)
6.297, 48, 1 1 1
4.046, 50, 2 0 2
3.540, 53, 4 2 0
3.315, 100, 4 0 2
3.149, 48, 2 2 2
2.502, 44, 8 0 0

Cell and atoms:
a = 19.998 Å, b = 10.026 Å, c = 8.850 Å
α = 90.00°, β = 90.00°, γ = 90.00°
Space group Aea2 (No. 41)
Symmetry-distinct sites (fractional):
K (0.118, 0.206, 0.000)
Sn (0.136, 0.213, 0.492)
Hg (0.000, 0.000, 0.639)
Hg (0.247, 0.460, 0.802)
S (0.033, 0.228, 0.643)
S (0.128, 0.012, 0.338)
S (0.133, 0.415, 0.337)
S (0.233, 0.212, 0.646)

For Ho3Cd2Co, the GGA-PBE geometry in Alexandria gives the theoretical X-ray powder pattern in this record (copper Kα).
No peak broadening, texture or thermal motion is included.

Top 6 peaks for 5 to 70 degrees two-theta, by angle:
d/Å, intensity, (hkl)
2.858, 100, 1 2 0
2.740, 83, 1 0 2
2.650, 97, 0 2 2
2.583, 68, 2 0 -1
2.556, 51, 1 2 1
1.850, 61, 2 2 1

Cell and atoms:
a = 5.167 Å, b = 7.020 Å, c = 8.476 Å
α = 90.00°, β = 107.60°, γ = 90.00°
Space group P2_1/m (No. 11)
Symmetry-distinct sites (fractional):
Ho (0.039, 0.250, 0.000)
Ho (0.373, 0.000, 0.746)
Cd (0.198, 0.250, 0.397)
Cd (0.199, 0.750, 0.397)
Co (0.459, 0.750, 0.000)

For LiMg5, the GGA-PBE geometry in Alexandria gives the theoretical X-ray powder pattern in this record (copper Kα).
No peak broadening, texture or thermal motion is included.

Top 6 peaks for 5 to 70 degrees two-theta, by angle:
d/Å, intensity, (hkl)
15.478, 26, 0 0 1
2.733, 26, 1 0 0
2.579, 32, 0 0 6
2.415, 100, 1 0 3
1.578, 21, 1 1 0
1.346, 19, 1 1 6

Cell and atoms:
a = 3.1556 Å, b = 3.1556 Å, c = 15.4782 Å
α = 90.00°, β = 90.00°, γ = 120.00°
Space group P-6m2 (No. 187)
Symmetry-distinct sites (fractional):
Li (0.0000, 0.0000, 0.0000)
Mg (0.0000, 0.0000, 0.3283)
Mg (0.3333, 0.6667, 0.1573)
Mg (0.3333, 0.6667, 0.5000)

For ZnCr2Ag, the GGA-PBE geometry in Alexandria gives the theoretical X-ray powder pattern in this record (copper Kα).
No peak broadening, texture or thermal motion is included.

Top 6 peaks for 5 to 70 degrees two-theta, by angle:
d/Å, intensity, (hkl)
8.661, 13, 0 0 1
2.887, 13, 0 0 3
2.216, 30, 0 2 0
2.165, 22, 0 0 4
2.130, 100, 1 1 2
1.549, 14, 0 2 4

Cell and atoms:
a = 2.935 Å, b = 4.431 Å, c = 8.661 Å
α = 90.00°, β = 90.00°, γ = 90.00°
Space group Cmm2 (No. 35)
Symmetry-distinct sites (fractional):
Zn (0.000, 0.000, 0.000)
Cr (0.000, 0.000, 0.551)
Cr (0.000, 0.500, 0.748)
Ag (0.000, 0.500, 0.274)

For Pr7Nd2Sm3, the GGA-PBE geometry in Alexandria gives the theoretical X-ray powder pattern in this record (copper Kα).
No peak broadening, texture or thermal motion is included.

Top 6 peaks for 5 to 70 degrees two-theta, by angle:
d/Å, intensity, (hkl)
3.095, 57, 1 1 1
3.007, 81, 2 0 -3
2.986, 100, 0 0 6
2.942, 96, 1 1 2
2.755, 66, 2 0 3
2.651, 81, 1 1 -4

Cell and atoms:
a = 6.589 Å, b = 3.622 Å, c = 18.015 Å
α = 90.00°, β = 95.96°, γ = 90.00°
Space group P2/m (No. 10)
Symmetry-distinct sites (fractional):
Pr (0.000, 0.000, 0.000)
Pr (0.226, 0.500, 0.169)
Pr (0.257, 0.500, 0.496)
Pr (0.276, 0.000, 0.834)
Nd (0.057, 0.500, 0.670)
Sm (0.455, 0.000, 0.340)
Sm (0.500, 0.500, 0.000)

For La6Tb3Pm, the GGA-PBE geometry in Alexandria gives the theoretical X-ray powder pattern in this record (copper Kα).
No peak broadening, texture or thermal motion is included.

Top 6 peaks for 5 to 70 degrees two-theta, by angle:
d/Å, intensity, (hkl)
3.185, 70, 2 4 1
3.135, 56, 3 1 1
2.932, 100, 0 6 1
2.858, 47, 3 3 1
2.694, 51, 2 2 2
2.670, 33, 3 5 0

Cell and atoms:
a = 10.902 Å, b = 19.687 Å, c = 6.530 Å
α = 90.00°, β = 90.00°, γ = 90.00°
Space group Cmc2_1 (No. 36)
Symmetry-distinct sites (fractional):
La (0.000, 0.030, 0.000)
La (0.000, 0.286, 0.800)
La (0.174, 0.460, 0.687)
La (0.222, 0.291, 0.501)
Tb (0.000, 0.385, 0.226)
Tb (0.172, 0.118, 0.604)
Pm (0.000, 0.185, 0.224)